# 1
# Tl2PtCl6
Computed PXRD pattern, Cu Kα (weighted mean of Kα1 and Kα2). Input: a structure optimized by DFT (GGA-PBE).
Intensities are scaled so that the largest is 100.

Crystal structure
Lattice parameters (Å, degrees): 7.1478 7.1478 7.1478 60.00 60.00 60.00
Atoms (fractional coordinates):
Tl: 0.2500 0.2500 0.2500
Tl: 0.7500 0.7500 0.7500
Pt: 0.0000 0.0000 0.0000
Cl: 0.2320 0.2320 0.7680
Cl: 0.2320 0.7680 0.2320
Cl: 0.2320 0.7680 0.7680
Cl: 0.7680 0.2320 0.2320
Cl: 0.7680 0.2320 0.7680
Cl: 0.7680 0.7680 0.2320

Top 10 peaks for 15 to 90 degrees two-theta, by angle:
| two_theta | intensity |
| --- | --- |
| 15.18 | 37.5 |
| 24.91 | 100.0 |
| 29.30 | 16.8 |
| 30.64 | 26.3 |
| 35.52 | 47.8 |
| 43.88 | 45.7 |
| 51.11 | 32.5 |
| 57.68 | 22.5 |
| 69.60 | 25.3 |
| 86.02 | 14.3 |

***

# 2
# PuCl
Computed PXRD pattern, Cu Kα (weighted mean of Kα1 and Kα2). Input: a structure optimized by DFT (GGA-PBE).
Intensities are scaled so that the largest is 100.

Crystal structure
Lattice parameters (Å, degrees): 3.5728 3.5728 4.4820 90.00 90.00 120.00
Atoms (fractional coordinates):
Pu: 0.0000 0.0000 0.0000
Cl: 0.3333 0.6667 0.5000

Top 10 peaks for 15 to 90 degrees two-theta, by angle:
| two_theta | intensity |
| --- | --- |
| 19.81 | 40.4 |
| 28.86 | 61.6 |
| 35.25 | 100.0 |
| 50.27 | 28.2 |
| 51.13 | 19.7 |
| 55.36 | 18.1 |
| 63.63 | 18.4 |
| 66.99 | 17.7 |
| 69.92 | 14.0 |
| 85.89 | 16.8 |

***

# 3
# PuCl3
Computed PXRD pattern, Cu Kα (weighted mean of Kα1 and Kα2). Input: a structure optimized by DFT (GGA-PBE).
Intensities are scaled so that the largest is 100.

Crystal structure
Lattice parameters (Å, degrees): 7.4562 7.4562 4.2429 90.00 90.00 120.00
Atoms (fractional coordinates):
Pu: 0.3333 0.6667 0.2500
Pu: 0.6667 0.3333 0.7500
Cl: 0.0864 0.3916 0.7500
Cl: 0.3052 0.9136 0.7500
Cl: 0.3916 0.3052 0.2500
Cl: 0.6084 0.6948 0.7500
Cl: 0.6948 0.0864 0.2500
Cl: 0.9136 0.6084 0.2500

Top 10 peaks for 15 to 90 degrees two-theta, by angle:
| two_theta | intensity |
| --- | --- |
| 23.87 | 70.3 |
| 25.11 | 100.0 |
| 34.92 | 90.3 |
| 41.97 | 34.8 |
| 42.74 | 84.6 |
| 49.43 | 22.3 |
| 55.71 | 23.4 |
| 61.38 | 28.2 |
| 66.87 | 38.4 |
| 82.15 | 28.6 |

***

# 4
# RbCl
Computed PXRD pattern, Cu Kα (weighted mean of Kα1 and Kα2). Input: a structure optimized by DFT (GGA-PBE).
Intensities are scaled so that the largest is 100.

Crystal structure
Lattice parameters (Å, degrees): 6.6987 6.6987 6.6987 90.00 90.00 90.00
Atoms (fractional coordinates):
Rb: 0.0000 0.0000 0.0000
Rb: 0.0000 0.5000 0.5000
Rb: 0.5000 0.0000 0.5000
Rb: 0.5000 0.5000 0.0000
Cl: 0.0000 0.0000 0.5000
Cl: 0.0000 0.5000 0.0000
Cl: 0.5000 0.0000 0.0000
Cl: 0.5000 0.5000 0.5000

Top 10 peaks for 15 to 90 degrees two-theta, by angle:
| two_theta | intensity |
| --- | --- |
| 23.00 | 29.7 |
| 26.61 | 100.0 |
| 37.99 | 73.8 |
| 44.88 | 16.9 |
| 46.99 | 25.8 |
| 54.82 | 12.0 |
| 61.95 | 32.8 |
| 68.64 | 24.0 |
| 81.24 | 7.6 |
| 87.34 | 16.2 |

***

# 5
# RbCl
Computed PXRD pattern, Cu Kα (weighted mean of Kα1 and Kα2). Input: a structure optimized by DFT (GGA-PBE).
Intensities are scaled so that the largest is 100.

Crystal structure
Lattice parameters (Å, degrees): 3.9964 3.9964 3.9964 90.00 90.00 90.00
Atoms (fractional coordinates):
Rb: 0.0000 0.0000 0.0000
Cl: 0.5000 0.5000 0.5000

Top 10 peaks for 15 to 90 degrees two-theta, by angle:
| two_theta | intensity |
| --- | --- |
| 22.24 | 19.2 |
| 31.66 | 100.0 |
| 39.04 | 6.6 |
| 45.39 | 17.3 |
| 51.11 | 9.5 |
| 56.40 | 35.1 |
| 66.13 | 10.8 |
| 70.72 | 4.7 |
| 75.18 | 14.9 |
| 83.86 | 3.8 |

***

# 6
# RbReCl4
Computed PXRD pattern, Cu Kα (weighted mean of Kα1 and Kα2). Input: a structure optimized by DFT (GGA-PBE).
Intensities are scaled so that the largest is 100.

Crystal structure
Lattice parameters (Å, degrees): 9.3409 9.3409 12.4985 90.00 90.00 108.85
Atoms (fractional coordinates):
Rb: 0.2478 0.7522 0.7500
Rb: 0.2537 0.2537 0.0000
Rb: 0.2537 0.2537 0.5000
Rb: 0.7463 0.7463 0.0000
Rb: 0.7463 0.7463 0.5000
Rb: 0.7522 0.2478 0.2500
Re: 0.1475 0.8525 0.2500
Re: 0.2885 0.7115 0.1512
Re: 0.2885 0.7115 0.3488
Re: 0.7115 0.2885 0.6512
Re: 0.7115 0.2885 0.8488
Re: 0.8525 0.1475 0.7500
Cl: 0.0244 0.9756 0.7500
Cl: 0.0928 0.3301 0.7500
Cl: 0.0936 0.4861 0.1229
Cl: 0.0936 0.4861 0.3771
Cl: 0.1487 0.8513 0.0550
Cl: 0.1487 0.8513 0.4450
Cl: 0.3301 0.0928 0.2500
Cl: 0.3729 0.6271 0.5317
Cl: 0.3729 0.6271 0.9683
Cl: 0.4261 0.5739 0.2500
Cl: 0.4861 0.0936 0.6229
Cl: 0.4861 0.0936 0.8771
Cl: 0.5139 0.9064 0.1229
Cl: 0.5139 0.9064 0.3771
Cl: 0.5739 0.4261 0.7500
Cl: 0.6271 0.3729 0.0317
Cl: 0.6271 0.3729 0.4683
Cl: 0.6699 0.9072 0.7500
Cl: 0.8513 0.1487 0.5550
Cl: 0.8513 0.1487 0.9450
Cl: 0.9064 0.5139 0.6229
Cl: 0.9064 0.5139 0.8771
Cl: 0.9072 0.6699 0.2500
Cl: 0.9756 0.0244 0.2500

Top 10 peaks for 15 to 90 degrees two-theta, by angle:
| two_theta | intensity |
| --- | --- |
| 16.31 | 76.7 |
| 18.38 | 52.9 |
| 20.09 | 100.0 |
| 21.67 | 66.1 |
| 26.28 | 29.8 |
| 30.94 | 29.5 |
| 32.12 | 34.0 |
| 32.97 | 76.2 |
| 36.19 | 38.4 |
| 42.64 | 28.6 |